(1)
Structure and simulated powder diffractogram of Nd6Sm12Cd (the PBE geometry in Alexandria; Cu Kα).
No peak broadening, texture or thermal motion is included.

The 10 most intense peaks (2θ = 10–80°), sorted by position:
28.2 deg, 3.163 Å, rel. 36; 31.1 deg, 2.875 Å, rel. 100; 31.4 deg, 2.853 Å, rel. 73; 32.1 deg, 2.789 Å, rel. 100; 34.2 deg, 2.619 Å, rel. 26; 34.9 deg, 2.567 Å, rel. 35; 47.8 deg, 1.901 Å, rel. 31; 56.4 deg, 1.630 Å, rel. 25; 56.9 deg, 1.618 Å, rel. 26; 60.6 deg, 1.528 Å, rel. 18

Cell and atoms:
a b c (Å): 13.1828 13.1828 13.1676
angles (deg): 90.00 90.00 120.00
Space group R-3 (No. 148, hexagonal axes)
One atom of each set of equivalent atoms:
Nd  0.0902  0.9087  0.2749 (multiplicity 18)
Sm  0.9997  0.2603  0.4999 (multiplicity 18)
Sm  0.0595  0.5296  0.6113 (multiplicity 18)
Cd  0.0000  0.0000  0.5000 (multiplicity 3)

(2)
Structure and simulated powder diffractogram of ScH8Ir2Pt (the PBE geometry in Alexandria; Cu Kα).
No peak broadening, texture or thermal motion is included.

The 10 most intense peaks (2θ = 10–80°), sorted by position:
15.8 deg, 5.593 Å, rel. 70; 25.2 deg, 3.534 Å, rel. 17; 30.0 deg, 2.977 Å, rel. 33; 32.3 deg, 2.773 Å, rel. 100; 37.3 deg, 2.413 Å, rel. 60; 41.8 deg, 2.163 Å, rel. 34; 43.1 deg, 2.098 Å, rel. 22; 44.8 deg, 2.025 Å, rel. 20; 46.6 deg, 1.948 Å, rel. 20; 67.5 deg, 1.387 Å, rel. 19

Cell and atoms:
a b c (Å): 9.2551 3.8965 6.1680
angles (deg): 90.00 114.95 90.00
Space group C2/m (No. 12)
One atom of each set of equivalent atoms:
Sc  0.0000  0.0000  0.0000 (multiplicity 2)
H  0.1269  0.5000  0.0296 (multiplicity 4)
H  0.1387  0.2468  0.7496 (multiplicity 8)
H  0.1879  0.0000  0.3521 (multiplicity 4)
Ir  0.2363  0.5000  0.3177 (multiplicity 4)
Pt  0.0000  0.5000  0.5000 (multiplicity 2)

(3)
Structure and simulated powder diffractogram of TmGa2Ni9 (the PBE geometry in Alexandria; Cu Kα).
No peak broadening, texture or thermal motion is included.

The 10 most intense peaks (2θ = 10–80°), sorted by position:
35.4 deg, 2.534 Å, rel. 22; 36.9 deg, 2.433 Å, rel. 30; 40.3 deg, 2.236 Å, rel. 100; 44.3 deg, 2.043 Å, rel. 36; 45.0 deg, 2.013 Å, rel. 28; 45.8 deg, 1.979 Å, rel. 56; 46.7 deg, 1.944 Å, rel. 35; 51.0 deg, 1.792 Å, rel. 17; 70.1 deg, 1.343 Å, rel. 16; 72.1 deg, 1.311 Å, rel. 16

Cell and atoms:
a b c (Å): 8.0143 8.0143 4.7487
angles (deg): 90.00 90.00 90.00
Space group P4/mbm (No. 127)
One atom of each set of equivalent atoms:
Tm  0.0000  0.0000  0.0000 (multiplicity 2)
Ga  0.1225  0.3775  0.0000 (multiplicity 4)
Ni  0.0000  0.5000  0.5000 (multiplicity 2)
Ni  0.0640  0.2074  0.5000 (multiplicity 8)
Ni  0.1775  0.6775  0.2404 (multiplicity 8)

(4)
Structure and simulated powder diffractogram of La3Cu4Pd4 (the PBE geometry in Alexandria; Cu Kα).
No peak broadening, texture or thermal motion is included.

The 10 most intense peaks (2θ = 10–80°), sorted by position:
27.4 deg, 3.260 Å, rel. 20; 33.5 deg, 2.677 Å, rel. 100; 34.8 deg, 2.580 Å, rel. 91; 36.9 deg, 2.436 Å, rel. 40; 37.8 deg, 2.377 Å, rel. 44; 42.4 deg, 2.129 Å, rel. 45; 42.6 deg, 2.122 Å, rel. 45; 45.5 deg, 1.992 Å, rel. 30; 57.6 deg, 1.600 Å, rel. 21; 61.7 deg, 1.503 Å, rel. 29

Cell and atoms:
a b c (Å): 4.2432 7.1026 14.6168
angles (deg): 90.00 90.00 90.00
Space group Immm (No. 71)
One atom of each set of equivalent atoms:
La  0.0000  0.0000  0.0000 (multiplicity 2)
La  0.0000  0.5000  0.1425 (multiplicity 4)
Cu  0.0000  0.0000  0.2111 (multiplicity 4)
Cu  0.0000  0.1735  0.5000 (multiplicity 4)
Pd  0.0000  0.3020  0.3346 (multiplicity 8)

(5)
Structure and simulated powder diffractogram of AcY2Pd9 (the PBE geometry in Alexandria; Cu Kα).
No peak broadening, texture or thermal motion is included.

The 10 most intense peaks (2θ = 10–80°), sorted by position:
22.3 deg, 3.991 Å, rel. 3; 33.3 deg, 2.688 Å, rel. 3; 37.1 deg, 2.423 Å, rel. 100; 42.9 deg, 2.106 Å, rel. 33; 43.4 deg, 2.083 Å, rel. 15; 62.4 deg, 1.489 Å, rel. 11; 62.7 deg, 1.481 Å, rel. 20; 74.8 deg, 1.269 Å, rel. 25; 75.6 deg, 1.259 Å, rel. 11; 79.1 deg, 1.211 Å, rel. 10

Cell and atoms:
a b c (Å): 4.2116 4.2116 12.4973
angles (deg): 90.00 90.00 90.00
Space group P4/mmm (No. 123)
One atom of each set of equivalent atoms:
Ac  0.0000  0.0000  0.0000 (multiplicity 1)
Y  0.0000  0.0000  0.3388 (multiplicity 2)
Pd  0.0000  0.5000  0.1765 (multiplicity 4)
Pd  0.0000  0.5000  0.5000 (multiplicity 2)
Pd  0.5000  0.5000  0.0000 (multiplicity 1)
Pd  0.5000  0.5000  0.3384 (multiplicity 2)

(6)
Structure and simulated powder diffractogram of Cs5SiTe4Br2 (the PBE geometry in Alexandria; Cu Kα).
No peak broadening, texture or thermal motion is included.

The 10 most intense peaks (2θ = 10–80°), sorted by position:
12.1 deg, 7.285 Å, rel. 20; 19.9 deg, 4.463 Å, rel. 58; 23.8 deg, 3.735 Å, rel. 67; 25.2 deg, 3.529 Å, rel. 48; 26.7 deg, 3.345 Å, rel. 23; 28.7 deg, 3.115 Å, rel. 23; 29.2 deg, 3.061 Å, rel. 100; 31.7 deg, 2.824 Å, rel. 31; 49.5 deg, 1.841 Å, rel. 21; 50.5 deg, 1.806 Å, rel. 24

Cell and atoms:
a b c (Å): 11.2956 12.3049 9.0391
angles (deg): 90.00 90.00 90.00
Space group Amm2 (No. 38)
One atom of each set of equivalent atoms:
Cs  0.0000  0.0000  0.0000 (multiplicity 2)
Cs  0.2515  0.2036  0.4943 (multiplicity 8)
Si  0.5000  0.0000  0.0082 (multiplicity 2)
Te  0.3141  0.0000  0.1579 (multiplicity 4)
Te  0.5000  0.1371  0.7951 (multiplicity 4)
Br  0.0000  0.2326  0.7471 (multiplicity 4)

(7)
Structure and simulated powder diffractogram of Cs2Ce2NiS6 (the PBE geometry in Alexandria; Cu Kα).
No peak broadening, texture or thermal motion is included.

The 10 most intense peaks (2θ = 10–80°), sorted by position:
10.8 deg, 8.211 Å, rel. 34; 16.6 deg, 5.346 Å, rel. 25; 21.6 deg, 4.105 Å, rel. 46; 27.2 deg, 3.282 Å, rel. 38; 29.8 deg, 3.001 Å, rel. 50; 30.0 deg, 2.978 Å, rel. 100; 39.4 deg, 2.284 Å, rel. 34; 45.5 deg, 1.995 Å, rel. 20; 45.9 deg, 1.977 Å, rel. 32; 51.3 deg, 1.781 Å, rel. 20

Cell and atoms:
a b c (Å): 6.8670 11.7596 8.5270
angles (deg): 90.00 105.66 90.00
Space group C2/m (No. 12)
One atom of each set of equivalent atoms:
Cs  0.0000  0.1678  0.0000 (multiplicity 4)
Ce  0.0000  0.3331  0.5000 (multiplicity 4)
Ni  0.0000  0.0000  0.5000 (multiplicity 2)
S  0.2148  0.1560  0.6722 (multiplicity 8)
S  0.2484  0.0000  0.3323 (multiplicity 4)

(8)
Structure and simulated powder diffractogram of PrDy2OsO8 (the PBE geometry in Alexandria; Cu Kα).
No peak broadening, texture or thermal motion is included.

The 10 most intense peaks (2θ = 10–80°), sorted by position:
24.6 deg, 3.617 Å, rel. 54; 24.9 deg, 3.575 Å, rel. 54; 31.3 deg, 2.858 Å, rel. 100; 35.3 deg, 2.543 Å, rel. 29; 47.7 deg, 1.906 Å, rel. 37; 48.0 deg, 1.894 Å, rel. 38; 57.1 deg, 1.614 Å, rel. 10; 59.4 deg, 1.556 Å, rel. 10; 60.9 deg, 1.522 Å, rel. 21; 65.3 deg, 1.429 Å, rel. 12

Cell and atoms:
a b c (Å): 7.1506 7.2347 6.9111
angles (deg): 90.00 90.00 90.00
Space group Cmmm (No. 65)
One atom of each set of equivalent atoms:
Pr  0.0000  0.0000  0.0000 (multiplicity 2)
Dy  0.0000  0.5000  0.2478 (multiplicity 4)
Os  0.0000  0.0000  0.5000 (multiplicity 2)
O  0.0000  0.2605  0.5000 (multiplicity 4)
O  0.0000  0.3171  0.0000 (multiplicity 4)
O  0.1863  0.0000  0.2983 (multiplicity 8)